For Ac2Ce4In5, the PBE geometry in Alexandria gives the computed X-ray powder pattern in this record (Cu Kα, 1.54184 Å).
Peak positions follow from Bragg's law for the DFT cell and can differ from measured ones.

Atomic structure:
```
data_Ac2Ce4In5
_chemical_formula_sum 'Ac2 Ce4 In5'
_space_group_name_H-M_alt 'P 1'
_space_group_IT_number 1
_space_group_name_Hall 'P 1'
_cell_length_a 11.643
_cell_length_b 10.956
_cell_length_c 6.104
_cell_angle_alpha 80.65
_cell_angle_beta 68.20
_cell_angle_gamma 31.15
loop_
_atom_site_label
_atom_site_type_symbol
_atom_site_fract_x
_atom_site_fract_y
_atom_site_fract_z
Ac1 Ac 0.132 0.132 0.868
Ac2 Ac 0.868 0.868 0.132
Ce1 Ce 0.231 0.503 0.497
Ce2 Ce 0.497 0.769 0.231
Ce3 Ce 0.503 0.231 0.769
Ce4 Ce 0.769 0.497 0.503
In1 In 0.000 0.000 0.500
In2 In 0.250 0.250 0.250
In3 In 0.500 0.500 0.000
In4 In 0.500 0.500 0.500
In5 In 0.750 0.750 0.750
```

Most intense lines, 2θ = 10–90°, in order of rising 2θ:
d 3.663, 2θ = 24.30°, intensity 32
d 3.007, 2θ = 29.71°, intensity 19
d 2.786, 2θ = 32.12°, intensity 100
d 2.774, 2θ = 32.27°, intensity 28
d 2.612, 2θ = 34.33°, intensity 30
d 2.458, 2θ = 36.56°, intensity 15
d 2.130, 2θ = 42.44°, intensity 14
d 1.902, 2θ = 47.83°, intensity 18